1.
Simulated powder diffractogram
Compound: Rb4Ti3S14
Radiation: Cu Kα (weighted mean of Kα1 and Kα2)
Structure: a structure optimized by DFT (GGA-PBE)
No peak broadening, texture or thermal motion is included.

Principal peaks in the range 2θ = 10–90°, low angle first:
d (Å), two_theta, Rel. int.
7.059, 12.54, 47
4.306, 20.62, 33
4.166, 21.33, 46
3.910, 22.74, 69
3.809, 23.35, 27
3.557, 25.03, 76
3.131, 28.51, 80
3.062, 29.16, 100
2.705, 33.12, 34
2.573, 34.86, 40

Crystal structure
Cell lengths 11.5389, 11.5389, 13.7016 Å; angles 112.23, 112.23, 42.33 degrees
Fractional coordinates of all 42 atoms:
Rb  0.1188  0.4759  0.3865
Rb  0.1713  0.6966  0.8530
Rb  0.3034  0.8287  0.6470
Rb  0.4759  0.1188  0.8865
Rb  0.5241  0.8812  0.1135
Rb  0.6966  0.1713  0.3530
Rb  0.8287  0.3034  0.1470
Rb  0.8812  0.5241  0.6135
Ti  0.0886  0.5768  0.0831
Ti  0.2644  0.7356  0.2500
Ti  0.4232  0.9114  0.4169
Ti  0.5768  0.0886  0.5831
Ti  0.7356  0.2644  0.7500
Ti  0.9114  0.4232  0.9169
S  0.0251  0.8363  0.0842
S  0.0648  0.4919  0.9015
S  0.0700  0.7393  0.2859
S  0.1089  0.1833  0.3980
S  0.1637  0.9749  0.4158
S  0.1833  0.1089  0.8980
S  0.2607  0.9300  0.2141
S  0.3054  0.6175  0.3897
S  0.3151  0.3415  0.6605
S  0.3415  0.3151  0.1605
S  0.3825  0.6946  0.1103
S  0.3941  0.4352  0.1311
S  0.4352  0.3941  0.6311
S  0.4919  0.0648  0.4015
S  0.5081  0.9352  0.5985
S  0.5648  0.6059  0.3689
S  0.6059  0.5648  0.8689
S  0.6175  0.3054  0.8897
S  0.6585  0.6849  0.8395
S  0.6849  0.6585  0.3395
S  0.6946  0.3825  0.6103
S  0.7393  0.0700  0.7859
S  0.8167  0.8911  0.1020
S  0.8363  0.0251  0.5842
S  0.8911  0.8167  0.6020
S  0.9300  0.2607  0.7141
S  0.9352  0.5081  0.0985
S  0.9749  0.1637  0.9158

2.
Simulated powder diffractogram
Compound: RbTlS2
Radiation: Cu Kα (weighted mean of Kα1 and Kα2)
Structure: a structure optimized by DFT (GGA-PBE)
No peak broadening, texture or thermal motion is included.

Principal peaks in the range 2θ = 10–90°, low angle first:
d (Å), two_theta, Rel. int.
7.867, 11.25, 29
6.857, 12.91, 30
4.060, 21.89, 34
3.933, 22.61, 28
3.814, 23.32, 49
3.656, 24.35, 44
3.083, 28.96, 27
3.027, 29.51, 100
2.922, 30.60, 33
2.047, 44.25, 39

Crystal structure
Cell lengths 8.1881, 8.1881, 16.0056 Å; angles 97.46, 97.46, 90.06 degrees
Fractional coordinates of all 32 atoms:
Rb  0.1522  0.7749  0.6093
Rb  0.2229  0.3456  0.8854
Rb  0.2251  0.8478  0.8907
Rb  0.3456  0.2229  0.3854
Rb  0.6544  0.7771  0.6146
Rb  0.7749  0.1522  0.1093
Rb  0.7771  0.6544  0.1146
Rb  0.8478  0.2251  0.3907
Tl  0.0853  0.7107  0.3395
Tl  0.2893  0.9147  0.1605
Tl  0.2899  0.4156  0.1600
Tl  0.4156  0.2899  0.6600
Tl  0.5844  0.7101  0.3400
Tl  0.7101  0.5844  0.8400
Tl  0.7107  0.0853  0.8395
Tl  0.9147  0.2893  0.6605
S  0.0501  0.4266  0.2493
S  0.0498  0.9502  0.2500
S  0.1400  0.2662  0.5611
S  0.2651  0.6403  0.0614
S  0.2662  0.1400  0.0611
S  0.3597  0.7349  0.4386
S  0.4260  0.5740  0.7500
S  0.4266  0.0501  0.7493
S  0.5734  0.9499  0.2507
S  0.5740  0.4260  0.2500
S  0.6403  0.2651  0.5614
S  0.7338  0.8600  0.9389
S  0.7349  0.3597  0.9386
S  0.8600  0.7338  0.4389
S  0.9502  0.0498  0.7500
S  0.9499  0.5734  0.7507

3.
Simulated powder diffractogram
Compound: RbV6S8
Radiation: Cu Kα (weighted mean of Kα1 and Kα2)
Structure: a structure optimized by DFT (GGA-PBE)
No peak broadening, texture or thermal motion is included.

Principal peaks in the range 2θ = 10–90°, low angle first:
d (Å), two_theta, Rel. int.
8.037, 11.01, 22
4.018, 22.12, 41
3.038, 29.40, 19
3.007, 29.71, 34
2.679, 33.45, 33
2.524, 35.57, 30
2.229, 40.47, 51
2.217, 40.70, 100
1.887, 48.23, 43
1.754, 52.15, 28

Crystal structure
Cell lengths 9.2800, 9.2800, 3.2430 Å; angles 90.00, 90.00, 120.00 degrees
Fractional coordinates of all 15 atoms:
Rb  0.0000  0.0000  0.0000
V  0.1140  0.4895  0.2482
V  0.3755  0.8860  0.2482
V  0.4895  0.3755  0.7518
V  0.5105  0.6245  0.2482
V  0.6245  0.1140  0.7518
V  0.8860  0.5105  0.7518
S  0.0535  0.7021  0.2537
S  0.2979  0.3514  0.2537
S  0.3333  0.6667  0.7485
S  0.3514  0.0535  0.7463
S  0.6486  0.9465  0.2537
S  0.6667  0.3333  0.2515
S  0.7021  0.6486  0.7463
S  0.9465  0.2979  0.7463

4.
Simulated powder diffractogram
Compound: Rb3VS4
Radiation: Cu Kα (weighted mean of Kα1 and Kα2)
Structure: a structure optimized by DFT (GGA-PBE)
No peak broadening, texture or thermal motion is included.

Principal peaks in the range 2θ = 10–90°, low angle first:
d (Å), two_theta, Rel. int.
4.275, 20.78, 24
3.629, 24.53, 100
3.388, 26.30, 74
3.068, 29.10, 41
3.024, 29.54, 40
2.933, 30.48, 58
2.804, 31.91, 41
2.786, 32.13, 24
2.660, 33.69, 24
2.396, 37.54, 41

Crystal structure
Cell lengths 9.5553, 11.1438, 9.5752 Å; angles 90.00, 90.00, 90.00 degrees
Fractional coordinates of all 32 atoms:
Rb  0.0468  0.0433  0.2083
Rb  0.0468  0.4567  0.2083
Rb  0.1462  0.7500  0.4121
Rb  0.3538  0.2500  0.9121
Rb  0.4532  0.5433  0.7083
Rb  0.4532  0.9567  0.7083
Rb  0.5468  0.0433  0.2917
Rb  0.5468  0.4567  0.2917
Rb  0.6462  0.7500  0.0879
Rb  0.8538  0.2500  0.5879
Rb  0.9532  0.5433  0.7917
Rb  0.9532  0.9567  0.7917
V  0.2199  0.7500  0.9831
V  0.2801  0.2500  0.4831
V  0.7199  0.7500  0.5169
V  0.7801  0.2500  0.0169
S  0.0100  0.7500  0.0708
S  0.1714  0.0895  0.5489
S  0.1714  0.4105  0.5489
S  0.2057  0.7500  0.7574
S  0.2943  0.2500  0.2574
S  0.3286  0.5895  0.0489
S  0.3286  0.9105  0.0489
S  0.4900  0.2500  0.5708
S  0.5100  0.7500  0.4292
S  0.6714  0.0895  0.9511
S  0.6714  0.4105  0.9511
S  0.7057  0.7500  0.7426
S  0.7943  0.2500  0.2426
S  0.8286  0.5895  0.4511
S  0.8286  0.9105  0.4511
S  0.9900  0.2500  0.9292